(1)
Diffraction record for Pr2TeCN2O4. The powder X-ray diffraction pattern is calculated, not measured: it uses a DFT-relaxed cell (GGA-PBE, OQMD) and Cu Kα (weighted mean of Kα1 and Kα2).

The 10 most intense peaks (2θ = 5–70°), sorted by position:
| h k l | d/Å | two_theta | Rel. int. |
| --- | --- | --- | --- |
| 1 2 1 | 3.344 | 26.66 | 100 |
| 0 2 1 | 3.208 | 27.81 | 61 |
| 2 0 0 | 3.143 | 28.40 | 96 |
| 1 0 2 | 3.034 | 29.44 | 68 |
| 0 2 0 | 2.989 | 29.89 | 57 |
| 1 0 -2 | 2.879 | 31.06 | 37 |
| -1 1 2 | 2.805 | 31.90 | 39 |
| 0 2 -1 | 2.420 | 37.16 | 47 |
| 1 2 3 | 2.302 | 39.12 | 41 |
| 0 1 4 | 1.790 | 51.02 | 39 |

Cell lengths 6.675, 6.814, 7.327 Å; angles 66.21, 79.17, 70.67 degrees
Space group P-1 (No. 2)
Symmetry-distinct sites (fractional):
Pr: 0.171 0.042 0.228 (multiplicity 2)
Pr: 0.253 0.415 0.659 (multiplicity 2)
Te: 0.280 0.542 0.141 (multiplicity 2)
C: 0.320 0.922 0.691 (multiplicity 2)
N: 0.205 0.849 0.634 (multiplicity 2)
N: 0.430 0.996 0.751 (multiplicity 2)
O: 0.031 0.791 0.110 (multiplicity 2)
O: 0.145 0.351 0.374 (multiplicity 2)
O: 0.226 0.379 0.990 (multiplicity 2)
O: 0.368 0.651 0.339 (multiplicity 2)

=====

(2)
Diffraction record for PrTmCN2O2. The powder X-ray diffraction pattern is calculated, not measured: it uses a DFT-relaxed cell (GGA-PBE, OQMD) and Cu Kα (weighted mean of Kα1 and Kα2).

The 10 most intense peaks (2θ = 5–70°), sorted by position:
| h k l | d/Å | two_theta | Rel. int. |
| --- | --- | --- | --- |
| 0 0 1 | 8.224 | 10.76 | 49 |
| 0 0 2 | 4.112 | 21.61 | 19 |
| 1 0 0 | 3.274 | 27.24 | 17 |
| 0 1 1 | 3.042 | 29.36 | 100 |
| 0 0 3 | 2.741 | 32.67 | 18 |
| 1 0 2 | 2.561 | 35.03 | 43 |
| 0 1 3 | 2.102 | 43.04 | 21 |
| 1 1 0 | 1.890 | 48.14 | 29 |
| 0 1 4 | 1.741 | 52.56 | 24 |
| 1 1 3 | 1.556 | 59.39 | 20 |

Cell lengths 3.7806, 3.7806, 8.2237 Å; angles 90.00, 90.00, 120.00 degrees
Space group P3m1 (No. 156)
Symmetry-distinct sites (fractional):
Pr: 0.0000 0.0000 0.0000 (multiplicity 1)
Tm: 0.6667 0.3333 0.6424 (multiplicity 1)
C: 0.3333 0.6667 0.3280 (multiplicity 1)
N: 0.3333 0.6667 0.1774 (multiplicity 1)
N: 0.3333 0.6667 0.4779 (multiplicity 1)
O: 0.0000 0.0000 0.7061 (multiplicity 1)
O: 0.6667 0.3333 0.9107 (multiplicity 1)

=====

(3)
Diffraction record for TbScCN2O2. The powder X-ray diffraction pattern is calculated, not measured: it uses a DFT-relaxed cell (GGA-PBE, OQMD) and Cu Kα (weighted mean of Kα1 and Kα2).

The 10 most intense peaks (2θ = 5–70°), sorted by position:
| h k l | d/Å | two_theta | Rel. int. |
| --- | --- | --- | --- |
| 0 0 1 | 8.035 | 11.01 | 100 |
| 0 0 2 | 4.018 | 22.13 | 24 |
| 1 0 0 | 3.111 | 28.70 | 30 |
| 0 1 1 | 2.901 | 30.82 | 100 |
| 0 0 3 | 2.678 | 33.46 | 17 |
| 1 0 2 | 2.460 | 36.53 | 45 |
| 0 1 3 | 2.030 | 44.64 | 32 |
| 1 1 0 | 1.796 | 50.84 | 27 |
| 0 1 4 | 1.688 | 54.37 | 24 |
| 1 1 3 | 1.492 | 62.24 | 16 |

Cell lengths 3.5920, 3.5920, 8.0353 Å; angles 90.00, 90.00, 120.00 degrees
Space group P3m1 (No. 156)
Symmetry-distinct sites (fractional):
Tb: 0.0000 0.0000 0.0000 (multiplicity 1)
Sc: 0.6667 0.3333 0.6503 (multiplicity 1)
C: 0.3333 0.6667 0.3296 (multiplicity 1)
N: 0.3333 0.6667 0.1755 (multiplicity 1)
N: 0.3333 0.6667 0.4824 (multiplicity 1)
O: 0.0000 0.0000 0.7094 (multiplicity 1)
O: 0.6667 0.3333 0.9126 (multiplicity 1)

=====

(4)
Diffraction record for TmScCN2O2. The powder X-ray diffraction pattern is calculated, not measured: it uses a DFT-relaxed cell (GGA-PBE, OQMD) and Cu Kα (weighted mean of Kα1 and Kα2).

The 10 most intense peaks (2θ = 5–70°), sorted by position:
| h k l | d/Å | two_theta | Rel. int. |
| --- | --- | --- | --- |
| 0 0 1 | 7.987 | 11.08 | 100 |
| 0 0 2 | 3.993 | 22.26 | 23 |
| 1 0 0 | 3.065 | 29.13 | 29 |
| 0 1 1 | 2.862 | 31.26 | 92 |
| 0 0 3 | 2.662 | 33.66 | 16 |
| 1 0 2 | 2.432 | 36.97 | 43 |
| 0 1 3 | 2.010 | 45.11 | 30 |
| 1 1 0 | 1.770 | 51.65 | 24 |
| 0 1 4 | 1.673 | 54.87 | 22 |
| 1 1 3 | 1.474 | 63.08 | 15 |

Cell lengths 3.5395, 3.5395, 7.9870 Å; angles 90.00, 90.00, 120.00 degrees
Space group P3m1 (No. 156)
Symmetry-distinct sites (fractional):
Tm: 0.0000 0.0000 0.0000 (multiplicity 1)
Sc: 0.6667 0.3333 0.6515 (multiplicity 1)
C: 0.3333 0.6667 0.3274 (multiplicity 1)
N: 0.3333 0.6667 0.1722 (multiplicity 1)
N: 0.3333 0.6667 0.4813 (multiplicity 1)
O: 0.0000 0.0000 0.7137 (multiplicity 1)
O: 0.6667 0.3333 0.9178 (multiplicity 1)

=====

(5)
Diffraction record for TbTmCN2O2. The powder X-ray diffraction pattern is calculated, not measured: it uses a DFT-relaxed cell (GGA-PBE, OQMD) and Cu Kα (weighted mean of Kα1 and Kα2).

The 10 most intense peaks (2θ = 5–70°), sorted by position:
| h k l | d/Å | two_theta | Rel. int. |
| --- | --- | --- | --- |
| 0 0 1 | 8.109 | 10.91 | 52 |
| 0 0 2 | 4.054 | 21.92 | 19 |
| 1 0 0 | 3.190 | 27.97 | 17 |
| 0 1 1 | 2.968 | 30.11 | 100 |
| 0 0 3 | 2.703 | 33.14 | 19 |
| 1 0 2 | 2.507 | 35.82 | 44 |
| 0 1 3 | 2.062 | 43.91 | 20 |
| 1 1 0 | 1.842 | 49.49 | 28 |
| 0 1 4 | 1.711 | 53.56 | 25 |
| 1 1 3 | 1.522 | 60.87 | 20 |

Cell lengths 3.6832, 3.6832, 8.1089 Å; angles 90.00, 90.00, 120.00 degrees
Space group P3m1 (No. 156)
Symmetry-distinct sites (fractional):
Tb: 0.0000 0.0000 0.0000 (multiplicity 1)
Tm: 0.6667 0.3333 0.6464 (multiplicity 1)
C: 0.3333 0.6667 0.3241 (multiplicity 1)
N: 0.3333 0.6667 0.1715 (multiplicity 1)
N: 0.3333 0.6667 0.4762 (multiplicity 1)
O: 0.0000 0.0000 0.7154 (multiplicity 1)
O: 0.6667 0.3333 0.9213 (multiplicity 1)

=====

(6)
Diffraction record for YTmCN2O2. The powder X-ray diffraction pattern is calculated, not measured: it uses a DFT-relaxed cell (GGA-PBE, OQMD) and Cu Kα (weighted mean of Kα1 and Kα2).

The 10 most intense peaks (2θ = 5–70°), sorted by position:
| h k l | d/Å | two_theta | Rel. int. |
| --- | --- | --- | --- |
| 0 0 1 | 8.114 | 10.90 | 67 |
| 0 0 2 | 4.057 | 21.91 | 20 |
| 1 0 0 | 3.181 | 28.05 | 21 |
| 0 1 1 | 2.961 | 30.18 | 100 |
| 0 0 3 | 2.705 | 33.12 | 18 |
| 1 0 2 | 2.503 | 35.87 | 43 |
| 0 1 3 | 2.061 | 43.94 | 24 |
| 1 1 0 | 1.837 | 49.64 | 28 |
| 0 1 4 | 1.710 | 53.58 | 24 |
| 1 1 3 | 1.519 | 60.98 | 19 |

Cell lengths 3.6730, 3.6730, 8.1140 Å; angles 90.00, 90.00, 120.00 degrees
Space group P3m1 (No. 156)
Symmetry-distinct sites (fractional):
Y: 0.0000 0.0000 0.0000 (multiplicity 1)
Tm: 0.6667 0.3333 0.6462 (multiplicity 1)
C: 0.3333 0.6667 0.3235 (multiplicity 1)
N: 0.3333 0.6667 0.1711 (multiplicity 1)
N: 0.3333 0.6667 0.4755 (multiplicity 1)
O: 0.0000 0.0000 0.7150 (multiplicity 1)
O: 0.6667 0.3333 0.9216 (multiplicity 1)